(1)
Starting from a structure optimized by DFT (PBE), the PXRD pattern of Sr2Ac2Ir was computed for a wavelength of 1.5418 Å.
Neutral-atom scattering factors, no anomalous dispersion.

Largest 10 diffraction maxima, low angle first, 5 to 70 degrees two-theta:
2theta	I_rel	(hkl)
6.46	100	0 0 3
12.94	10	0 0 6
25.02	19	1 0 4
25.86	11	0 1 5
29.27	45	0 1 8
33.69	9	0 1 11
41.20	18	1 1 0
41.75	9	1 1 3
42.54	16	1 0 16
51.33	10	2 0 8

Cell and atoms:
Cell: 4.383 4.383 41.039 Å, 90.00 90.00 120.00°
Positions (direct):
1 Sr 0.000 0.000 0.125
2 Sr 0.000 0.000 0.875
3 Sr 0.333 0.667 0.541
4 Sr 0.333 0.667 0.792
5 Sr 0.667 0.333 0.208
6 Sr 0.667 0.333 0.459
7 Ac 0.000 0.000 0.372
8 Ac 0.000 0.000 0.628
9 Ac 0.333 0.667 0.038
10 Ac 0.333 0.667 0.295
11 Ac 0.667 0.333 0.705
12 Ac 0.667 0.333 0.962
13 Ir 0.000 0.000 0.000
14 Ir 0.333 0.667 0.667
15 Ir 0.667 0.333 0.333

***

(2)
Starting from a structure optimized by DFT (PBE), the PXRD pattern of SrAcIr was computed for a wavelength of 1.5418 Å.
Neutral-atom scattering factors, no anomalous dispersion.

Largest 10 diffraction maxima, low angle first, 5 to 70 degrees two-theta:
2theta	I_rel	(hkl)
6.55	59	0 0 1
13.11	55	0 0 2
23.46	21	2 0 -1
28.05	100	2 0 -3
32.26	50	1 1 3
41.05	55	0 2 0
43.28	18	3 1 -3
44.87	39	2 0 5
50.46	20	2 2 -3
67.00	18	5 1 -4

Cell and atoms:
Cell: 7.617 4.397 13.733 Å, 90.00 100.52 90.00°
Positions (direct):
1 Sr 0.119 0.000 0.362
2 Sr 0.381 0.500 0.638
3 Sr 0.619 0.500 0.362
4 Sr 0.881 0.000 0.638
5 Ac 0.209 0.500 0.130
6 Ac 0.291 0.000 0.870
7 Ac 0.709 0.000 0.130
8 Ac 0.791 0.500 0.870
9 Ir 0.090 0.500 0.765
10 Ir 0.410 0.000 0.235
11 Ir 0.590 0.000 0.765
12 Ir 0.910 0.500 0.235